Record 1
For La2Pr15Nd2, a structure optimized by DFT (PBE) gives the computed PXRD pattern in this record (Cu Ka).
Neutral-atom scattering factors, no anomalous dispersion.

Crystal structure
Lattice parameters (Å, degrees): 11.5793 11.5793 18.3803 90.00 90.00 120.00
Space group R-3m (No. 166, hexagonal axes)
One atom of each set of equivalent atoms:
1 La 0.0000 0.0000 0.1772 (multiplicity 6)
2 Pr 0.0000 0.2972 0.5000 (multiplicity 18)
3 Pr 0.0000 0.5000 0.0000 (multiplicity 9)
4 Pr 0.0167 0.5083 0.6359 (multiplicity 18)
5 Nd 0.0000 0.0000 0.4098 (multiplicity 6)

Principal peaks in the range 10 to 80 degrees two-theta, in order of rising 2θ:
| 2θ (°) | d_spacing | I_rel |
| --- | --- | --- |
| 26.31 | 3.388 | 28 |
| 26.67 | 3.343 | 28 |
| 29.15 | 3.063 | 26 |
| 30.14 | 2.965 | 60 |
| 30.46 | 2.934 | 100 |
| 30.89 | 2.895 | 56 |
| 33.08 | 2.708 | 21 |
| 34.26 | 2.617 | 63 |
| 54.47 | 1.684 | 19 |
| 54.94 | 1.671 | 25 |


Record 2
For LaPr5Nd7, a structure optimized by DFT (PBE) gives the computed PXRD pattern in this record (Cu Ka).
Neutral-atom scattering factors, no anomalous dispersion.

Crystal structure
Lattice parameters (Å, degrees): 6.9072 11.4817 12.0492 90.00 90.00 90.00
Space group Imm2 (No. 44)
One atom of each set of equivalent atoms:
1 La 0.0000 0.0000 0.0000 (multiplicity 2)
2 Pr 0.0000 0.5000 0.2699 (multiplicity 2)
3 Pr 0.2311 0.2304 0.8054 (multiplicity 8)
4 Nd 0.0000 0.0000 0.3061 (multiplicity 2)
5 Nd 0.0000 0.0000 0.6073 (multiplicity 2)
6 Nd 0.0000 0.3239 0.0470 (multiplicity 4)
7 Nd 0.0000 0.3313 0.5464 (multiplicity 4)
8 Nd 0.0000 0.5000 0.7873 (multiplicity 2)

Principal peaks in the range 10 to 80 degrees two-theta, in order of rising 2θ:
| 2θ (°) | d_spacing | I_rel |
| --- | --- | --- |
| 26.63 | 3.348 | 37 |
| 29.66 | 3.012 | 75 |
| 29.82 | 2.996 | 51 |
| 30.20 | 2.959 | 49 |
| 30.55 | 2.926 | 100 |
| 33.74 | 2.656 | 95 |
| 34.62 | 2.591 | 33 |
| 53.04 | 1.727 | 31 |
| 54.84 | 1.674 | 33 |
| 55.28 | 1.662 | 35 |


Record 3
For La2Pr2Nd3, a structure optimized by DFT (PBE) gives the computed PXRD pattern in this record (Cu Ka).
Neutral-atom scattering factors, no anomalous dispersion.

Crystal structure
Lattice parameters (Å, degrees): 6.4152 6.4296 12.8576 99.64 99.55 99.46
Space group P-1 (No. 2)
One atom of each set of equivalent atoms:
1 La 0.0714 0.1426 0.1424 (multiplicity 2)
2 La 0.0716 0.1426 0.6430 (multiplicity 2)
3 Pr 0.2154 0.4292 0.4287 (multiplicity 2)
4 Pr 0.3581 0.7143 0.2136 (multiplicity 2)
5 Nd 0.2156 0.4295 0.9289 (multiplicity 2)
6 Nd 0.3577 0.7145 0.7145 (multiplicity 2)
7 Nd 0.5000 0.0000 0.0000 (multiplicity 1)
8 Nd 0.5000 0.0000 0.5000 (multiplicity 1)

Principal peaks in the range 10 to 80 degrees two-theta, in order of rising 2θ:
| 2θ (°) | d_spacing | I_rel |
| --- | --- | --- |
| 29.49 | 3.029 | 100 |
| 34.18 | 2.623 | 51 |
| 49.08 | 1.856 | 24 |
| 49.18 | 1.853 | 12 |
| 58.29 | 1.583 | 25 |
| 58.39 | 1.580 | 18 |
| 61.15 | 1.515 | 9 |
| 72.00 | 1.312 | 6 |
| 79.57 | 1.205 | 9 |
| 79.79 | 1.202 | 6 |


Record 4
For LaPr3Nd8, a structure optimized by DFT (PBE) gives the computed PXRD pattern in this record (Cu Ka).
Neutral-atom scattering factors, no anomalous dispersion.

Crystal structure
Lattice parameters (Å, degrees): 3.6696 10.0198 11.8808 93.15 98.86 90.01
Space group P1 (No. 1)
One atom of each set of equivalent atoms:
1 La 0.0000 0.0000 0.0000 (multiplicity 1)
2 Pr 0.2551 0.3256 0.5103 (multiplicity 1)
3 Pr 0.3702 0.8388 0.7396 (multiplicity 1)
4 Pr 0.6262 0.1648 0.2510 (multiplicity 1)
5 Nd 0.1149 0.4844 0.2322 (multiplicity 1)
6 Nd 0.1358 0.8382 0.2684 (multiplicity 1)
7 Nd 0.4905 0.3270 0.9834 (multiplicity 1)
8 Nd 0.5108 0.6806 0.0183 (multiplicity 1)
9 Nd 0.7421 0.6485 0.4856 (multiplicity 1)
10 Nd 0.7539 0.9976 0.5030 (multiplicity 1)
11 Nd 0.8722 0.1677 0.7483 (multiplicity 1)
12 Nd 0.8837 0.5162 0.7653 (multiplicity 1)

Principal peaks in the range 10 to 80 degrees two-theta, in order of rising 2θ:
| 2θ (°) | d_spacing | I_rel |
| --- | --- | --- |
| 28.51 | 3.130 | 36 |
| 30.09 | 2.970 | 54 |
| 30.54 | 2.927 | 100 |
| 31.60 | 2.831 | 44 |
| 31.94 | 2.802 | 51 |
| 47.25 | 1.924 | 22 |
| 49.69 | 1.835 | 14 |
| 59.19 | 1.561 | 17 |
| 59.44 | 1.555 | 14 |
| 60.09 | 1.540 | 14 |